[1]
The following is a calculated X-ray powder pattern of Ni4Sb. It was derived from a crystal structure in Alexandria, relaxed with GGA-PBE, using copper Kα.
No peak broadening, texture or thermal motion is included.

Crystal structure
```
Ni4Sb
1.0
-1.978 2.572 6.211
1.978 -2.572 6.211
1.978 2.572 -6.211
Ni Sb
8 2
Direct
0.000 0.000 0.000
0.213 0.197 0.016
0.320 0.803 0.516
0.355 0.605 0.750
0.500 0.000 0.500
0.645 0.395 0.250
0.680 0.197 0.484
0.787 0.803 0.984
0.140 0.390 0.750
0.860 0.610 0.250
```

The 10 most intense peaks (15 to 90 degrees two-theta), low angle first:
31.97°, d = 2.799 Å, rel. 13
42.56°, d = 2.124 Å, rel. 93
42.99°, d = 2.104 Å, rel. 100
45.85°, d = 1.979 Å, rel. 84
47.55°, d = 1.912 Å, rel. 17
57.11°, d = 1.613 Å, rel. 15
66.85°, d = 1.400 Å, rel. 25
76.16°, d = 1.250 Å, rel. 14
83.09°, d = 1.162 Å, rel. 13
89.28°, d = 1.097 Å, rel. 21



[2]
The following is a calculated X-ray powder pattern of Dy8SnSe6. It was derived from a crystal structure in Alexandria, relaxed with GGA-PBE, using copper Kα.
No peak broadening, texture or thermal motion is included.

Crystal structure
```
Dy8SnSe6
1.0
10.534 0.000 0.000
-5.267 9.122 0.000
0.000 0.000 4.046
Dy Sn Se
8 1 6
Direct
0.035 0.714 0.252
0.286 0.321 0.252
0.321 0.035 0.748
0.333 0.667 0.749
0.667 0.333 0.251
0.679 0.965 0.252
0.714 0.679 0.748
0.965 0.286 0.748
0.000 0.000 0.500
0.131 0.483 0.251
0.351 0.869 0.251
0.483 0.351 0.749
0.517 0.649 0.251
0.649 0.131 0.749
0.869 0.517 0.749
```

The 10 most intense peaks (15 to 90 degrees two-theta), low angle first:
27.81°, d = 3.208 Å, rel. 69
29.37°, d = 3.041 Å, rel. 100
29.51°, d = 3.027 Å, rel. 57
34.17°, d = 2.624 Å, rel. 93
35.48°, d = 2.530 Å, rel. 44
40.89°, d = 2.207 Å, rel. 69
44.80°, d = 2.023 Å, rel. 24
49.01°, d = 1.859 Å, rel. 43
54.48°, d = 1.684 Å, rel. 22
76.85°, d = 1.240 Å, rel. 30



[3]
The following is a calculated X-ray powder pattern of NaThCuCl6. It was derived from a crystal structure in Alexandria, relaxed with GGA-PBE, using copper Kα.
No peak broadening, texture or thermal motion is included.

Crystal structure
```
NaThCuCl6
1.0
6.449 0.000 0.000
0.000 6.449 0.000
0.000 0.000 11.824
Na Th Cu Cl
2 2 2 12
Direct
0.000 0.000 0.000
0.500 0.500 0.500
0.000 0.000 0.340
0.500 0.500 0.840
0.000 0.000 0.656
0.500 0.500 0.156
0.193 0.193 0.516
0.203 0.203 0.825
0.208 0.208 0.180
0.292 0.708 0.680
0.297 0.703 0.325
0.307 0.693 0.016
0.693 0.307 0.016
0.703 0.297 0.325
0.708 0.292 0.680
0.792 0.792 0.180
0.797 0.797 0.825
0.807 0.807 0.516
```

The 10 most intense peaks (15 to 90 degrees two-theta), low angle first:
15.65°, d = 5.662 Å, rel. 100
19.47°, d = 4.560 Å, rel. 100
24.66°, d = 3.611 Å, rel. 27
26.50°, d = 3.363 Å, rel. 51
29.97°, d = 2.982 Å, rel. 24
31.94°, d = 2.802 Å, rel. 35
38.69°, d = 2.327 Å, rel. 82
39.52°, d = 2.280 Å, rel. 30
48.22°, d = 1.887 Å, rel. 36
50.44°, d = 1.809 Å, rel. 19



[4]
The following is a calculated X-ray powder pattern of Mn2Ir9Rh. It was derived from a crystal structure in Alexandria, relaxed with GGA-PBE, using copper Kα.
No peak broadening, texture or thermal motion is included.

Crystal structure
```
Mn2Ir9Rh
1.0
3.838 0.000 0.000
0.000 3.838 0.000
0.000 0.000 11.504
Mn Ir Rh
2 9 1
Direct
0.000 0.000 0.166
0.000 0.000 0.834
0.000 0.500 0.000
0.000 0.500 0.330
0.000 0.500 0.670
0.500 0.000 0.000
0.500 0.000 0.330
0.500 0.000 0.670
0.500 0.500 0.166
0.500 0.500 0.500
0.500 0.500 0.834
0.000 0.000 0.500
```

The 10 most intense peaks (15 to 90 degrees two-theta), low angle first:
23.18°, d = 3.837 Å, rel. 10
33.02°, d = 2.713 Å, rel. 9
40.73°, d = 2.215 Å, rel. 100
47.39°, d = 1.918 Å, rel. 49
53.40°, d = 1.716 Å, rel. 5
58.97°, d = 1.566 Å, rel. 4
69.27°, d = 1.357 Å, rel. 31
74.14°, d = 1.279 Å, rel. 2
83.58°, d = 1.157 Å, rel. 38
88.22°, d = 1.108 Å, rel. 11



[5]
The following is a calculated X-ray powder pattern of KLa2Te. It was derived from a crystal structure in Alexandria, relaxed with GGA-PBE, using copper Kα.
No peak broadening, texture or thermal motion is included.

Crystal structure
```
KLa2Te
1.0
-4.832 4.832 3.514
4.832 -4.832 3.514
4.832 4.832 -3.514
K La Te
2 4 2
Direct
0.000 0.000 0.000
0.750 0.250 0.500
0.181 0.625 0.056
0.375 0.431 0.556
0.569 0.125 0.944
0.875 0.819 0.444
0.250 0.750 0.500
0.500 0.500 0.000
```

The 10 most intense peaks (15 to 90 degrees two-theta), low angle first:
15.59°, d = 5.684 Å, rel. 50
24.18°, d = 3.681 Å, rel. 26
26.08°, d = 3.417 Å, rel. 95
28.56°, d = 3.125 Å, rel. 100
35.86°, d = 2.504 Å, rel. 46
37.22°, d = 2.416 Å, rel. 28
39.06°, d = 2.306 Å, rel. 60
40.58°, d = 2.223 Å, rel. 24
48.87°, d = 1.864 Å, rel. 20
55.66°, d = 1.651 Å, rel. 27



[6]
The following is a calculated X-ray powder pattern of MnNb2B2. It was derived from a crystal structure in Alexandria, relaxed with GGA-PBE, using copper Kα.
No peak broadening, texture or thermal motion is included.

Crystal structure
```
MnNb2B2
1.0
-1.631 2.402 3.660
1.631 -2.402 3.660
1.631 2.402 -3.660
Mn Nb B
1 2 2
Direct
0.000 0.000 0.000
0.289 0.789 0.500
0.711 0.211 0.500
0.307 0.500 0.807
0.693 0.500 0.193
```

The 10 most intense peaks (15 to 90 degrees two-theta), low angle first:
24.32°, d = 3.660 Å, rel. 14
30.00°, d = 2.979 Å, rel. 13
33.20°, d = 2.698 Å, rel. 23
37.43°, d = 2.402 Å, rel. 27
41.57°, d = 2.173 Å, rel. 100
45.15°, d = 2.008 Å, rel. 9
48.69°, d = 1.870 Å, rel. 11
56.43°, d = 1.631 Å, rel. 10
70.34°, d = 1.338 Å, rel. 18
82.67°, d = 1.167 Å, rel. 11